1.
KPmBr4: simulated powder diffractogram (CuKα), based on DFT lattice parameters and positions (GGA-PBE).

Principal peaks in the range 15 to 90 degrees two-theta, sorted by position:
hkl 2 0 -1, d = 5.832 Å, I 245; hkl 1 1 -1, d = 3.854 Å, I 258; hkl 2 0 2, d = 3.209 Å, I 455; hkl 3 1 -1, d = 3.091 Å, I 1000; hkl 3 1 -2, d = 2.703 Å, I 132; hkl 1 1 -3, d = 2.378 Å, I 315; hkl 0 2 0, d = 2.215 Å, I 209; hkl 6 0 -2, d = 2.157 Å, I 156; hkl 5 1 1, d = 2.101 Å, I 394; hkl 2 2 2, d = 1.823 Å, I 173

Structural model:
Cell lengths 13.6206, 4.4308, 8.4565 Å; angles 90.00, 102.51, 90.00 degrees
Space group C2/m (No. 12)
Unique sites:
K: 0.0000 0.0000 0.0000 [2 per cell]
Pm: 0.0000 0.5000 0.5000 [2 per cell]
Br: 0.1166 0.5000 0.8215 [4 per cell]
Br: 0.1193 0.0000 0.4089 [4 per cell]



2.
Ca2YH6: simulated powder diffractogram (CuKα), based on DFT lattice parameters and positions (GGA-PBE).

Principal peaks in the range 15 to 90 degrees two-theta, sorted by position:
hkl 1 1 1, d = 4.577 Å, I 638; hkl 2 2 0, d = 2.803 Å, I 1000; hkl 3 1 1, d = 2.390 Å, I 351; hkl 4 0 0, d = 1.982 Å, I 193; hkl 3 3 1, d = 1.819 Å, I 153; hkl 4 2 2, d = 1.618 Å, I 354; hkl 3 3 3, d = 1.526 Å, I 109; hkl 4 4 0, d = 1.401 Å, I 113; hkl 5 3 1, d = 1.340 Å, I 104; hkl 6 2 0, d = 1.253 Å, I 144

Structural model:
Cell lengths 7.9273, 7.9273, 7.9273 Å; angles 90.00, 90.00, 90.00 degrees
Space group Fm-3m (No. 225)
Unique sites:
Ca: 0.2500 0.2500 0.2500 [8 per cell]
Y: 0.0000 0.0000 0.0000 [4 per cell]
H: 0.0000 0.0000 0.2670 [24 per cell]



3.
Li4Ce3HfSe8: simulated powder diffractogram (CuKα), based on DFT lattice parameters and positions (GGA-PBE).

Principal peaks in the range 15 to 90 degrees two-theta, sorted by position:
hkl 0 2 1, d = 3.482 Å, I 364; hkl 0 2 4, d = 2.867 Å, I 1000; hkl 2 0 5, d = 2.625 Å, I 194; hkl 2 2 0, d = 2.043 Å, I 366; hkl 2 0 8, d = 2.013 Å, I 356; hkl 2 2 3, d = 1.949 Å, I 131; hkl 4 0 4, d = 1.664 Å, I 187; hkl 2 4 4, d = 1.290 Å, I 153; hkl 2 2 12, d = 1.275 Å, I 153; hkl 4 2 8, d = 1.173 Å, I 113

Structural model:
Cell lengths 8.1705, 8.1705, 19.5766 Å; angles 90.00, 90.00, 120.00 degrees
Space group R-3m (No. 166, hexagonal axes)
Unique sites:
Li: 0.0000 0.0000 0.0000 [3 per cell]
Li: 0.0000 0.5000 0.0000 [9 per cell]
Ce: 0.0000 0.5000 0.5000 [9 per cell]
Hf: 0.0000 0.0000 0.5000 [3 per cell]
Se: 0.0000 0.0000 0.2557 [6 per cell]
Se: 0.0222 0.5111 0.2512 [18 per cell]



> Which formula does entry 1 have?

KPmBr4